[1]
Structure and simulated powder X-ray diffraction pattern of Li2CeAs2Pd2 (a PBE-relaxed structure; Cu Kα (weighted mean of Kα1 and Kα2)).
Intensities are scaled so that the largest is 100.

Main lines, in order of rising 2θ (15° ≤ 2θ ≤ 90°):
- 23.46°, I = 23
- 25.07°, I = 21
- 28.57°, I = 59
- 30.95°, I = 48
- 36.63°, I = 90
- 41.85°, I = 100
- 48.52°, I = 18
- 56.81°, I = 25
- 65.52°, I = 31
- 73.00°, I = 23

Structural model:
a b c (Å): 7.985 7.985 7.985
angles (deg): 31.37 31.37 31.37
Atoms (fractional coordinates):
Li1 0.142 0.142 0.142
Li2 0.858 0.858 0.858
Ce1 0.000 0.000 0.000
As1 0.256 0.256 0.256
As2 0.744 0.744 0.744
Pd1 0.429 0.429 0.429
Pd2 0.571 0.571 0.571

[2]
Structure and simulated powder X-ray diffraction pattern of Pu2PaSi4 (a PBE-relaxed structure; Cu Kα (weighted mean of Kα1 and Kα2)).
Intensities are scaled so that the largest is 100.

Main lines, in order of rising 2θ (15° ≤ 2θ ≤ 90°):
- 22.39°, I = 34
- 27.23°, I = 77
- 30.45°, I = 25
- 33.19°, I = 100
- 33.62°, I = 65
- 42.61°, I = 18
- 44.44°, I = 24
- 52.63°, I = 27
- 52.91°, I = 26
- 58.17°, I = 28

Structural model:
a b c (Å): 9.253 9.253 9.253
angles (deg): 155.38 154.55 35.70
Atoms (fractional coordinates):
Pu1 0.188 0.188 0.000
Pu2 0.812 0.812 0.000
Pa1 0.000 0.500 0.500
Si1 0.360 0.360 0.000
Si2 0.435 0.935 0.500
Si3 0.565 0.065 0.500
Si4 0.640 0.640 0.000